No. 1
Starting from a cell relaxed with GGA-PBE, the X-ray powder pattern of La2Ge4Pd3Pt was simulated for copper Kα.
Peak positions follow from Bragg's law for the DFT cell and can differ from measured ones.

Crystal structure
a b c (Å): 4.4468 4.4468 10.1975
angles (deg): 90.00 90.00 90.00
Fractional positions:
La 0.0000 0.5000 0.2500
La 0.5000 0.0000 0.7500
Ge 0.0000 0.5000 0.6245
Ge 0.0000 0.5000 0.8751
Ge 0.5000 0.0000 0.1249
Ge 0.5000 0.0000 0.3755
Pd 0.0000 0.0000 0.0000
Pd 0.0000 0.0000 0.5000
Pd 0.5000 0.5000 0.5000
Pt 0.5000 0.5000 0.0000

The 8 most intense peaks (10 to 90 degrees two-theta), by angle:
| d [Å] | two_theta | intensity |
| --- | --- | --- |
| 2.701 | 33.17 | 404 |
| 2.676 | 33.48 | 1000 |
| 2.223 | 40.57 | 564 |
| 1.980 | 45.82 | 197 |
| 1.717 | 53.37 | 207 |
| 1.572 | 58.73 | 188 |
| 1.495 | 62.08 | 169 |
| 1.356 | 69.32 | 239 |

No. 2
Starting from a cell relaxed with GGA-PBE, the X-ray powder pattern of RbNd2CuS4 was simulated for copper Kα.
Peak positions follow from Bragg's law for the DFT cell and can differ from measured ones.

Crystal structure
a b c (Å): 7.3736 7.3736 14.0818
angles (deg): 90.00 90.00 147.75
Fractional positions:
Rb 0.1059 0.8941 0.7500
Rb 0.8941 0.1059 0.2500
Nd 0.3655 0.6345 0.5615
Nd 0.3655 0.6345 0.9385
Nd 0.6345 0.3655 0.0615
Nd 0.6345 0.3655 0.4385
Cu 0.1646 0.8354 0.2500
Cu 0.8354 0.1646 0.7500
S 0.0000 0.0000 0.0000
S 0.0000 0.0000 0.5000
S 0.2600 0.7400 0.1128
S 0.2600 0.7400 0.3872
S 0.4242 0.5758 0.7500
S 0.5758 0.4242 0.2500
S 0.7400 0.2600 0.6128
S 0.7400 0.2600 0.8872

The 8 most intense peaks (10 to 90 degrees two-theta), by angle:
| d [Å] | two_theta | intensity |
| --- | --- | --- |
| 6.328 | 14.00 | 414 |
| 3.913 | 22.73 | 718 |
| 3.542 | 25.14 | 417 |
| 3.435 | 25.94 | 571 |
| 3.020 | 29.58 | 758 |
| 2.833 | 31.58 | 1000 |
| 2.619 | 34.24 | 398 |
| 2.086 | 43.38 | 754 |

No. 3
Starting from a cell relaxed with GGA-PBE, the X-ray powder pattern of Mg6AlCdO8 was simulated for copper Kα.
Peak positions follow from Bragg's law for the DFT cell and can differ from measured ones.

Crystal structure
a b c (Å): 4.3995 4.3995 8.7084
angles (deg): 90.00 90.00 90.00
Fractional positions:
Mg 0.0000 0.0000 0.0000
Mg 0.0000 0.5000 0.2459
Mg 0.0000 0.5000 0.7541
Mg 0.5000 0.0000 0.2459
Mg 0.5000 0.0000 0.7541
Mg 0.5000 0.5000 0.0000
Al 0.0000 0.0000 0.5000
Cd 0.5000 0.5000 0.5000
O 0.0000 0.0000 0.2680
O 0.0000 0.0000 0.7320
O 0.0000 0.5000 0.0000
O 0.0000 0.5000 0.5000
O 0.5000 0.0000 0.0000
O 0.5000 0.0000 0.5000
O 0.5000 0.5000 0.2307
O 0.5000 0.5000 0.7693

The 8 most intense peaks (10 to 90 degrees two-theta), by angle:
| d [Å] | two_theta | intensity |
| --- | --- | --- |
| 8.708 | 10.16 | 600 |
| 4.399 | 20.18 | 265 |
| 3.927 | 22.64 | 330 |
| 2.531 | 35.46 | 460 |
| 2.200 | 41.03 | 1000 |
| 2.177 | 41.48 | 467 |
| 1.555 | 59.42 | 293 |
| 1.547 | 59.76 | 557 |

No. 4
Starting from a cell relaxed with GGA-PBE, the X-ray powder pattern of Na4ScSi2GePO12 was simulated for copper Kα.
Peak positions follow from Bragg's law for the DFT cell and can differ from measured ones.

Crystal structure
a b c (Å): 9.0102 9.0102 8.8710
angles (deg): 119.42 119.42 59.75
Fractional positions:
Na 0.0597 0.9403 0.5000
Na 0.1967 0.4327 0.6402
Na 0.3120 0.8210 0.8870
Na 0.4327 0.1967 0.1402
Na 0.5623 0.7052 0.2667
Na 0.7052 0.5623 0.7667
Na 0.8210 0.3120 0.3870
Na 0.9403 0.0597 0.0000
Sc 0.1628 0.6721 0.0298
Sc 0.6721 0.1628 0.5298
Si 0.0739 0.2726 0.8446
Si 0.2726 0.0739 0.3446
Si 0.7703 0.8555 0.1262
Si 0.8555 0.7703 0.6262
Ge 0.4640 0.9685 0.7379
Ge 0.9685 0.4640 0.2379
P 0.3536 0.5739 0.4315
P 0.5739 0.3536 0.9315
O 0.0437 0.7365 0.7940
O 0.0492 0.3031 0.0353
O 0.0845 0.2577 0.3266
O 0.1024 0.4460 0.8685
O 0.1803 0.5466 0.4029
O 0.2476 0.9006 0.1612
O 0.2577 0.0845 0.8266
O 0.3031 0.0492 0.5353
O 0.3341 0.5972 0.2627
O 0.3682 0.7431 0.6053
O 0.4112 0.5298 0.9620
O 0.4460 0.1024 0.3685
O 0.5298 0.4112 0.4620
O 0.5466 0.1803 0.9029
O 0.5861 0.8740 0.9407
O 0.5972 0.3341 0.7627
O 0.6661 0.8034 0.6503
O 0.7365 0.0437 0.2940
O 0.7431 0.3682 0.1053
O 0.8034 0.6661 0.1503
O 0.8366 0.9480 0.6071
O 0.8740 0.5861 0.4407
O 0.9006 0.2476 0.6612
O 0.9480 0.8366 0.1071

The 8 most intense peaks (10 to 90 degrees two-theta), by angle:
| d [Å] | two_theta | intensity |
| --- | --- | --- |
| 4.503 | 19.72 | 1000 |
| 4.435 | 20.02 | 306 |
| 3.155 | 28.29 | 283 |
| 2.866 | 31.20 | 680 |
| 2.832 | 31.59 | 607 |
| 2.809 | 31.86 | 542 |
| 2.607 | 34.40 | 319 |
| 2.595 | 34.56 | 630 |

No. 5
Starting from a cell relaxed with GGA-PBE, the X-ray powder pattern of Ag3SbTe4 was simulated for copper Kα.
Peak positions follow from Bragg's law for the DFT cell and can differ from measured ones.

Crystal structure
a b c (Å): 5.9855 5.9855 5.9855
angles (deg): 90.00 90.00 90.00
Fractional positions:
Ag 0.0000 0.0000 0.5000
Ag 0.0000 0.5000 0.0000
Ag 0.5000 0.0000 0.0000
Sb 0.0000 0.0000 0.0000
Te 0.0000 0.5000 0.5000
Te 0.5000 0.0000 0.5000
Te 0.5000 0.5000 0.0000
Te 0.5000 0.5000 0.5000

The 6 most intense peaks (10 to 90 degrees two-theta), by angle:
| d [Å] | two_theta | intensity |
| --- | --- | --- |
| 2.993 | 29.86 | 1000 |
| 2.116 | 42.73 | 741 |
| 1.728 | 53.00 | 259 |
| 1.496 | 62.02 | 119 |
| 1.338 | 70.34 | 325 |
| 1.222 | 78.25 | 241 |

> What is the formula in the first record?

La2Ge4Pd3Pt